(1)
This entry pairs a crystal structure of LaEr12Tm2 with its calculated powder diffraction line list. Radiation: copper Kα. Structure: a cell relaxed with PBE.

Crystal structure
Unit cell a=6.3310 b=6.3310 c=24.9770 alpha=90.00 beta=90.00 gamma=90.00
Space group P4/nbm (No. 125, origin choice 2)
Inequivalent atoms, fractional coordinates:
La: 0.2500 0.7500 0.0000 (multiplicity 2)
Er: 0.0679 0.5679 0.1206 (multiplicity 8)
Er: 0.0810 0.5810 0.4399 (multiplicity 8)
Er: 0.2500 0.2500 0.2187 (multiplicity 4)
Er: 0.2500 0.2500 0.3417 (multiplicity 4)
Tm: 0.2500 0.7500 0.2780 (multiplicity 4)

Largest 10 diffraction maxima, most intense first, 5 to 70 degrees two-theta:
2θ = 32.1°, 2.790 Å, I 100, (1 1 7)
2θ = 33.4°, 2.680 Å, I 79, (2 1 3)
2θ = 29.1°, 3.068 Å, I 67, (2 0 2)
2θ = 30.2°, 2.959 Å, I 59, (2 0 3)
2θ = 38.5°, 2.341 Å, I 55, (2 1 6)
2θ = 56.7°, 1.624 Å, I 48, (3 1 9)
2θ = 40.3°, 2.238 Å, I 45, (2 2 0)
2θ = 31.7°, 2.823 Å, I 45, (2 0 4)
2θ = 32.3°, 2.775 Å, I 43, (0 0 9)
2θ = 31.8°, 2.813 Å, I 33, (2 1 1)

---

(2)
This entry pairs a crystal structure of Y2Ni15Au2 with its calculated powder diffraction line list. Radiation: copper Kα. Structure: a cell relaxed with PBE.

Crystal structure
Unit cell a=8.4753 b=8.4753 c=12.2303 alpha=90.00 beta=90.00 gamma=120.00
Space group R-3m (No. 166, hexagonal axes)
Inequivalent atoms, fractional coordinates:
Y: 0.0000 0.0000 0.1519 (multiplicity 6)
Ni: 0.0000 0.3021 0.5000 (multiplicity 18)
Ni: 0.0000 0.5000 0.0000 (multiplicity 9)
Ni: 0.0075 0.5038 0.6549 (multiplicity 18)
Au: 0.0000 0.0000 0.3910 (multiplicity 6)

Largest 10 diffraction maxima, most intense first, 5 to 70 degrees two-theta:
2θ = 42.7°, 2.119 Å, I 100, (2 2 0)
2θ = 36.7°, 2.447 Å, I 83, (3 0 0)
2θ = 48.4°, 1.880 Å, I 80, (2 2 3)
2θ = 14.1°, 6.293 Å, I 78, (1 0 1)
2θ = 38.3°, 2.349 Å, I 63, (0 2 4)
2θ = 44.5°, 2.037 Å, I 56, (0 0 6)
2θ = 43.1°, 2.098 Å, I 55, (0 3 3)
2θ = 44.1°, 2.055 Å, I 53, (2 1 4)
2θ = 49.7°, 1.836 Å, I 43, (1 1 6)
2θ = 31.7°, 2.822 Å, I 41, (1 0 4)

---

(3)
This entry pairs a crystal structure of PrDyIrPd with its calculated powder diffraction line list. Radiation: copper Kα. Structure: a cell relaxed with PBE.

Crystal structure
Unit cell a=4.4512 b=3.8410 c=10.8020 alpha=90.00 beta=90.00 gamma=90.00
Space group Amm2 (No. 38)
Inequivalent atoms, fractional coordinates:
Pr: 0.0000 0.0000 0.0000 (multiplicity 2)
Dy: 0.5000 0.0000 0.2784 (multiplicity 2)
Ir: 0.0000 0.0000 0.7313 (multiplicity 2)
Pd: 0.5000 0.0000 0.5607 (multiplicity 2)

Largest 10 diffraction maxima, most intense first, 5 to 70 degrees two-theta:
2θ = 31.9°, 2.808 Å, I 100, (1 1 1)
2θ = 39.8°, 2.262 Å, I 71, (1 1 3)
2θ = 40.5°, 2.226 Å, I 30, (2 0 0)
2θ = 33.2°, 2.700 Å, I 30, (0 0 4)
2θ = 39.0°, 2.309 Å, I 23, (1 0 4)
2θ = 47.3°, 1.921 Å, I 19, (0 2 0)
2θ = 34.1°, 2.627 Å, I 17, (0 1 3)
2θ = 53.3°, 1.717 Å, I 16, (2 0 4)
2θ = 64.0°, 1.454 Å, I 16, (2 2 0)
2θ = 16.4°, 5.401 Å, I 13, (0 0 2)

---

(4)
This entry pairs a crystal structure of Na3Cd2Pt with its calculated powder diffraction line list. Radiation: copper Kα. Structure: a cell relaxed with PBE.

Crystal structure
Unit cell a=5.3295 b=17.7721 c=3.0510 alpha=90.00 beta=90.00 gamma=90.00
Space group Cmmm (No. 65)
Inequivalent atoms, fractional coordinates:
Na: 0.0000 0.0000 0.0000 (multiplicity 2)
Na: 0.0000 0.1965 0.5000 (multiplicity 4)
Cd: 0.0000 0.3697 0.0000 (multiplicity 4)
Pt: 0.0000 0.5000 0.5000 (multiplicity 2)

Largest 10 diffraction maxima, most intense first, 5 to 70 degrees two-theta:
2θ = 17.4°, 5.105 Å, I 100, (1 1 0)
2θ = 37.2°, 2.417 Å, I 61, (1 3 1)
2θ = 10.0°, 8.886 Å, I 45, (0 2 0)
2θ = 35.7°, 2.515 Å, I 30, (0 4 1)
2θ = 33.6°, 2.665 Å, I 26, (2 0 0)
2θ = 49.9°, 1.829 Å, I 23, (2 4 1)
2θ = 42.6°, 2.124 Å, I 22, (1 5 1)
2θ = 39.3°, 2.292 Å, I 22, (1 7 0)
2θ = 62.5°, 1.486 Å, I 13, (3 3 1)
2θ = 30.2°, 2.962 Å, I 11, (0 6 0)

---

(5)
This entry pairs a crystal structure of CrSnPd14 with its calculated powder diffraction line list. Radiation: copper Kα. Structure: a cell relaxed with PBE.

Crystal structure
Unit cell a=5.6381 b=5.6381 c=7.8175 alpha=90.00 beta=90.00 gamma=90.00
Space group P4/mmm (No. 123)
Inequivalent atoms, fractional coordinates:
Cr: 0.0000 0.0000 0.0000 (multiplicity 1)
Sn: 0.5000 0.5000 0.0000 (multiplicity 1)
Pd: 0.0000 0.0000 0.5000 (multiplicity 1)
Pd: 0.0000 0.5000 0.0000 (multiplicity 2)
Pd: 0.0000 0.5000 0.5000 (multiplicity 2)
Pd: 0.2472 0.2472 0.2477 (multiplicity 8)
Pd: 0.5000 0.5000 0.5000 (multiplicity 1)

Largest 7 diffraction maxima, most intense first, 5 to 70 degrees two-theta:
2θ = 39.4°, 2.286 Å, I 100, (2 0 2)
2θ = 45.5°, 1.993 Å, I 33, (2 2 0)
2θ = 67.1°, 1.396 Å, I 20, (2 2 4)
2θ = 46.5°, 1.954 Å, I 15, (0 0 4)
2θ = 66.3°, 1.410 Å, I 10, (4 0 0)
2θ = 19.4°, 4.573 Å, I 1, (1 0 1)
2θ = 27.8°, 3.212 Å, I 1, (1 0 2)

---

(6)
This entry pairs a crystal structure of TbDy2Pb2 with its calculated powder diffraction line list. Radiation: copper Kα. Structure: a cell relaxed with PBE.

Crystal structure
Unit cell a=4.9736 b=18.5308 c=6.5534 alpha=90.00 beta=90.00 gamma=90.00
Space group Cmc2_1 (No. 36)
Inequivalent atoms, fractional coordinates:
Tb: 0.0000 0.1066 0.0000 (multiplicity 4)
Dy: 0.0000 0.3121 0.9970 (multiplicity 4)
Dy: 0.0000 0.4995 0.2492 (multiplicity 4)
Pb: 0.0000 0.0750 0.4992 (multiplicity 4)
Pb: 0.0000 0.3002 0.4965 (multiplicity 4)

Largest 10 diffraction maxima, most intense first, 5 to 70 degrees two-theta:
2θ = 30.1°, 2.972 Å, I 100, (1 5 0)
2θ = 33.1°, 2.707 Å, I 41, (1 1 2)
2θ = 36.1°, 2.487 Å, I 37, (2 0 0)
2θ = 35.9°, 2.502 Å, I 37, (1 3 2)
2θ = 41.0°, 2.201 Å, I 34, (1 5 2)
2θ = 27.2°, 3.277 Å, I 31, (0 0 2)
2θ = 65.0°, 1.435 Å, I 24, (1 5 4)
2θ = 45.8°, 1.981 Å, I 16, (2 0 2)
2θ = 61.2°, 1.513 Å, I 14, (3 5 0)
2θ = 28.9°, 3.089 Å, I 14, (0 2 2)

---

(7)
This entry pairs a crystal structure of NaSr2PtO6 with its calculated powder diffraction line list. Radiation: copper Kα. Structure: a cell relaxed with PBE.

Crystal structure
Unit cell a=5.7495 b=6.0323 c=9.9928 alpha=90.00 beta=124.99 gamma=90.00
Space group P2_1/c (No. 14)
Inequivalent atoms, fractional coordinates:
Na: 0.0000 0.0000 0.0000 (multiplicity 2)
Sr: 0.2346 0.0616 0.7489 (multiplicity 4)
Pt: 0.5000 0.0000 0.5000 (multiplicity 2)
O: 0.1793 0.1788 0.4575 (multiplicity 4)
O: 0.2751 0.7283 0.4486 (multiplicity 4)
O: 0.3607 0.0309 0.2710 (multiplicity 4)

Largest 10 diffraction maxima, most intense first, 5 to 70 degrees two-theta:
2θ = 30.6°, 2.918 Å, I 100, (1 1 -3)
2θ = 18.3°, 4.856 Å, I 48, (0 1 1)
2θ = 18.9°, 4.704 Å, I 43, (1 0 -2)
2θ = 31.1°, 2.875 Å, I 25, (2 0 -2)
2θ = 43.5°, 2.081 Å, I 24, (2 2 -2)
2θ = 29.6°, 3.016 Å, I 23, (0 2 0)
2θ = 55.1°, 1.666 Å, I 18, (2 0 -6)
2θ = 55.0°, 1.669 Å, I 17, (3 1 -1)
2θ = 36.3°, 2.475 Å, I 15, (2 1 -1)
2θ = 44.3°, 2.047 Å, I 15, (0 0 4)

---

(8)
This entry pairs a crystal structure of La2Y4H with its calculated powder diffraction line list. Radiation: copper Kα. Structure: a cell relaxed with PBE.

Crystal structure
Unit cell a=4.9383 b=4.9383 c=17.5773 alpha=90.00 beta=90.00 gamma=90.00
Space group I4/mmm (No. 139)
Inequivalent atoms, fractional coordinates:
La: 0.0000 0.0000 0.1493 (multiplicity 4)
Y: 0.0000 0.0000 0.3522 (multiplicity 4)
Y: 0.0000 0.5000 0.0000 (multiplicity 4)
H: 0.0000 0.0000 0.5000 (multiplicity 2)

Largest 10 diffraction maxima, most intense first, 5 to 70 degrees two-theta:
2θ = 32.8°, 2.734 Å, I 100, (1 1 4)
2θ = 27.5°, 3.245 Å, I 51, (1 1 2)
2θ = 36.4°, 2.469 Å, I 49, (2 0 0)
2θ = 48.2°, 1.888 Å, I 31, (2 0 6)
2θ = 63.2°, 1.471 Å, I 29, (3 1 4)
2θ = 30.5°, 2.930 Å, I 28, (0 0 6)
2θ = 58.8°, 1.570 Å, I 23, (1 1 10)
2θ = 25.5°, 3.492 Å, I 23, (1 1 0)
2θ = 52.4°, 1.746 Å, I 17, (2 2 0)
2θ = 61.9°, 1.500 Å, I 14, (2 2 6)

---

(9)
This entry pairs a crystal structure of AlGeBr5 with its calculated powder diffraction line list. Radiation: copper Kα. Structure: a cell relaxed with PBE.

Crystal structure
Unit cell a=10.9652 b=10.1781 c=10.8709 alpha=90.00 beta=118.07 gamma=90.00
Space group Cc (No. 9)
Inequivalent atoms, fractional coordinates:
Al: 0.0000 0.1484 0.0000 (multiplicity 4)
Ge: 0.2704 0.2504 0.7774 (multiplicity 4)
Br: 0.1021 0.3010 0.9134 (multiplicity 4)
Br: 0.1670 0.0333 0.1869 (multiplicity 4)
Br: 0.3442 0.4768 0.3078 (multiplicity 4)
Br: 0.3724 0.2155 0.5697 (multiplicity 4)
Br: 0.4656 0.1604 0.9731 (multiplicity 4)

Largest 10 diffraction maxima, most intense first, 5 to 70 degrees two-theta:
2θ = 18.0°, 4.918 Å, I 100, (1 1 1)
2θ = 25.8°, 3.448 Å, I 98, (1 1 2)
2θ = 30.8°, 2.905 Å, I 80, (1 3 1)
2θ = 19.0°, 4.681 Å, I 72, (2 0 -2)
2θ = 30.0°, 2.983 Å, I 59, (3 1 -3)
2θ = 27.9°, 3.202 Å, I 57, (1 3 0)
2θ = 36.5°, 2.459 Å, I 49, (2 2 2)
2θ = 23.9°, 3.729 Å, I 49, (2 2 -1)
2θ = 25.5°, 3.490 Å, I 41, (0 2 2)
2θ = 38.5°, 2.339 Å, I 40, (4 0 -4)

---

(10)
This entry pairs a crystal structure of PrNdLuAl with its calculated powder diffraction line list. Radiation: copper Kα. Structure: a cell relaxed with PBE.

Crystal structure
Unit cell a=7.6991 b=7.6991 c=7.6991 alpha=90.00 beta=90.00 gamma=90.00
Space group F-43m (No. 216)
Inequivalent atoms, fractional coordinates:
Pr: 0.0000 0.0000 0.0000 (multiplicity 4)
Nd: 0.0000 0.0000 0.5000 (multiplicity 4)
Lu: 0.2500 0.2500 0.2500 (multiplicity 4)
Al: 0.2500 0.2500 0.7500 (multiplicity 4)

Largest 10 diffraction maxima, most intense first, 5 to 70 degrees two-theta:
2θ = 32.9°, 2.722 Å, I 100, (2 2 0)
2θ = 58.8°, 1.572 Å, I 38, (4 2 2)
2θ = 20.0°, 4.445 Å, I 20, (1 1 1)
2θ = 47.2°, 1.925 Å, I 18, (4 0 0)
2θ = 69.0°, 1.361 Å, I 12, (4 4 0)
2θ = 38.8°, 2.321 Å, I 12, (3 1 1)
2θ = 51.8°, 1.766 Å, I 5, (3 3 1)
2θ = 23.1°, 3.850 Å, I 4, (2 0 0)
2θ = 62.7°, 1.482 Å, I 4, (5 1 1)
2θ = 53.2°, 1.722 Å, I 2, (4 2 0)

---

(11)
This entry pairs a crystal structure of Sc3P3Ir with its calculated powder diffraction line list. Radiation: copper Kα. Structure: a cell relaxed with PBE.

Crystal structure
Unit cell a=7.7822 b=7.7822 c=5.2064 alpha=90.00 beta=90.00 gamma=120.00
Space group P6_3/m (No. 176)
Inequivalent atoms, fractional coordinates:
Sc: 0.0661 0.6900 0.2500 (multiplicity 6)
P: 0.0577 0.7055 0.7500 (multiplicity 6)
Ir: 0.3333 0.6667 0.7500 (multiplicity 2)

Largest 10 diffraction maxima, most intense first, 5 to 70 degrees two-theta:
2θ = 21.6°, 4.120 Å, I 100, (1 0 1)
2θ = 13.1°, 6.740 Å, I 68, (1 0 0)
2θ = 39.4°, 2.288 Å, I 60, (1 2 1)
2θ = 31.6°, 2.829 Å, I 53, (2 0 1)
2θ = 40.1°, 2.247 Å, I 51, (3 0 0)
2θ = 53.9°, 1.701 Å, I 42, (3 0 2)
2θ = 34.5°, 2.603 Å, I 39, (0 0 2)
2θ = 35.2°, 2.547 Å, I 19, (1 2 0)
2θ = 52.0°, 1.759 Å, I 19, (1 3 1)
2θ = 62.7°, 1.482 Å, I 16, (3 2 1)

---

(12)
This entry pairs a crystal structure of TlTePd4 with its calculated powder diffraction line list. Radiation: copper Kα. Structure: a cell relaxed with PBE.

Crystal structure
Unit cell a=4.8832 b=5.3961 c=9.0840 alpha=107.12 beta=105.47 gamma=90.01
Space group P-1 (No. 2)
Inequivalent atoms, fractional coordinates:
Tl: 0.2505 0.2034 0.0004 (multiplicity 2)
Te: 0.0000 0.5000 0.5000 (multiplicity 1)
Te: 0.5000 0.0000 0.5000 (multiplicity 1)
Pd: 0.0837 0.0077 0.6676 (multiplicity 2)
Pd: 0.1615 0.5757 0.8242 (multiplicity 2)
Pd: 0.3382 0.7534 0.1754 (multiplicity 2)
Pd: 0.4164 0.3411 0.3326 (multiplicity 2)

Largest 10 diffraction maxima, most intense first, 5 to 70 degrees two-theta:
2θ = 40.9°, 2.206 Å, I 100, (1 1 2)
2θ = 36.8°, 2.442 Å, I 54, (2 0 -1)
2θ = 33.2°, 2.698 Å, I 33, (0 2 -1)
2θ = 41.0°, 2.201 Å, I 33, (1 1 -4)
2θ = 38.5°, 2.339 Å, I 22, (1 -2 0)
2θ = 38.5°, 2.337 Å, I 22, (1 2 -2)
2θ = 50.4°, 1.810 Å, I 21, (2 2 -2)
2θ = 67.4°, 1.389 Å, I 17, (0 0 6)
2θ = 26.8°, 3.321 Å, I 15, (1 1 0)
2θ = 69.0°, 1.360 Å, I 14, (3 1 1)

---

(13)
This entry pairs a crystal structure of Li5Ga3Ir with its calculated powder diffraction line list. Radiation: copper Kα. Structure: a cell relaxed with PBE.

Crystal structure
Unit cell a=9.0615 b=7.4528 c=10.0180 alpha=90.00 beta=100.14 gamma=90.00
Space group C2/m (No. 12)
Inequivalent atoms, fractional coordinates:
Li: 0.0000 0.1727 0.0000 (multiplicity 4)
Li: 0.0304 0.0000 0.3529 (multiplicity 4)
Li: 0.2027 0.3064 0.6704 (multiplicity 8)
Li: 0.2318 0.0000 0.8420 (multiplicity 4)
Ga: 0.0000 0.5000 0.0000 (multiplicity 2)
Ga: 0.0000 0.5000 0.5000 (multiplicity 2)
Ga: 0.2409 0.5000 0.8926 (multiplicity 4)
Ga: 0.2494 0.5000 0.4292 (multiplicity 4)
Ir: 0.0157 0.5000 0.2490 (multiplicity 4)

Largest 10 diffraction maxima, most intense first, 5 to 70 degrees two-theta:
2θ = 15.5°, 5.719 Å, I 100, (1 1 0)
2θ = 23.9°, 3.726 Å, I 46, (0 2 0)
2θ = 22.4°, 3.962 Å, I 35, (1 1 -2)
2θ = 45.1°, 2.011 Å, I 21, (3 1 -4)
2θ = 41.5°, 2.176 Å, I 18, (1 1 4)
2θ = 47.5°, 1.913 Å, I 14, (4 2 0)
2θ = 32.4°, 2.762 Å, I 14, (3 1 0)
2θ = 37.6°, 2.393 Å, I 12, (1 3 0)
2θ = 40.5°, 2.230 Å, I 12, (4 0 0)
2θ = 45.8°, 1.981 Å, I 11, (2 2 -4)